Entry 1:
Pm4ThCd3: theoretical XRD peak list (a wavelength of 1.5418 Å), based on a PBE-relaxed structure.
No peak broadening, texture or thermal motion is included.

Cell and atoms:
```
data_Pm4ThCd3
_symmetry_space_group_name_H-M 'P 1'
_symmetry_Int_Tables_number 1
_cell_length_a 3.6600
_cell_length_b 5.6250
_cell_length_c 11.3106
_cell_angle_alpha 90.00
_cell_angle_beta 90.00
_cell_angle_gamma 90.00
loop_
_symmetry_equiv_pos_as_xyz
'x,y,z'
loop_
_atom_site_label
_atom_site_fract_x
_atom_site_fract_y
_atom_site_fract_z
Pm1 0.0000 0.0000 0.0000
Pm2 0.0000 0.0000 0.5000
Pm3 0.0000 0.5000 0.2390
Pm4 0.0000 0.5000 0.7610
Th1 0.5000 0.5000 0.5000
Cd1 0.5000 0.0000 0.2512
Cd2 0.5000 0.0000 0.7488
Cd3 0.5000 0.5000 0.0000
```

The 6 most intense peaks (5 to 70 degrees two-theta), by angle:
| Position (°2θ) | intensity |
| --- | --- |
| 31.64 | 28 |
| 31.82 | 28 |
| 33.22 | 100 |
| 45.49 | 20 |
| 57.37 | 20 |
| 57.59 | 21 |

---

Entry 2:
Hf3Tl2Te6: theoretical XRD peak list (a wavelength of 1.5418 Å), based on a PBE-relaxed structure.
No peak broadening, texture or thermal motion is included.

Cell and atoms:
```
data_Hf3Tl2Te6
_symmetry_space_group_name_H-M 'P 1'
_symmetry_Int_Tables_number 1
_cell_length_a 6.9645
_cell_length_b 6.9645
_cell_length_c 8.9238
_cell_angle_alpha 97.56
_cell_angle_beta 97.56
_cell_angle_gamma 120.04
loop_
_symmetry_equiv_pos_as_xyz
'x,y,z'
loop_
_atom_site_label
_atom_site_fract_x
_atom_site_fract_y
_atom_site_fract_z
Hf1 0.0000 0.0000 0.0000
Hf2 0.3301 0.6699 0.0000
Hf3 0.6699 0.3301 0.0000
Tl1 0.1657 0.8343 0.5000
Tl2 0.8343 0.1657 0.5000
Te1 0.0717 0.4026 0.2053
Te2 0.2675 0.2675 0.7978
Te3 0.4026 0.0717 0.2053
Te4 0.5974 0.9283 0.7947
Te5 0.7325 0.7325 0.2022
Te6 0.9283 0.5974 0.7947
```

The 6 most intense peaks (5 to 70 degrees two-theta), by angle:
| Position (°2θ) | intensity |
| --- | --- |
| 10.28 | 17 |
| 29.14 | 100 |
| 37.97 | 27 |
| 38.09 | 13 |
| 45.10 | 33 |
| 54.57 | 12 |

---

Entry 3:
CeRe2Tc: theoretical XRD peak list (a wavelength of 1.5418 Å), based on a PBE-relaxed structure.
No peak broadening, texture or thermal motion is included.

Cell and atoms:
```
data_CeRe2Tc
_symmetry_space_group_name_H-M 'P 1'
_symmetry_Int_Tables_number 1
_cell_length_a 4.4694
_cell_length_b 4.4694
_cell_length_c 14.9340
_cell_angle_alpha 90.00
_cell_angle_beta 90.00
_cell_angle_gamma 120.00
loop_
_symmetry_equiv_pos_as_xyz
'x,y,z'
loop_
_atom_site_label
_atom_site_fract_x
_atom_site_fract_y
_atom_site_fract_z
Ce1 0.0000 0.0000 0.0000
Ce2 0.3333 0.6667 0.6667
Ce3 0.6667 0.3333 0.3333
Re1 0.0000 0.0000 0.1893
Re2 0.0000 0.0000 0.8107
Re3 0.3333 0.6667 0.4773
Re4 0.3333 0.6667 0.8560
Re5 0.6667 0.3333 0.1440
Re6 0.6667 0.3333 0.5227
Tc1 0.0000 0.0000 0.5000
Tc2 0.3333 0.6667 0.1667
Tc3 0.6667 0.3333 0.8333
```

The 6 most intense peaks (5 to 70 degrees two-theta), by angle:
| Position (°2θ) | intensity |
| --- | --- |
| 17.82 | 62 |
| 23.75 | 33 |
| 38.05 | 48 |
| 40.36 | 100 |
| 44.44 | 36 |
| 55.24 | 50 |